Structure and calculated XRD peak list of LiPuFe2O6 (a structure optimized by DFT (PBE+U); λ = 1.5418 Å (Cu Kα)).
Lines closer than 0.1° are merged.

Peak list (10 most intense, 2θ from 10° to 80°, in order of falling intensity)
- 20.5 deg, intensity 100
- 18.5 deg, intensity 83
- 20.7 deg, intensity 51
- 23.0 deg, intensity 47
- 34.3 deg, intensity 29
- 34.2 deg, intensity 29
- 31.3 deg, intensity 27
- 34.4 deg, intensity 27
- 31.8 deg, intensity 26
- 38.9 deg, intensity 26

Atomic structure:
a b c (Å): 5.211 5.231 5.624
angles (deg): 91.23 116.09 119.65
Element x y z (fractional)
Li 0.000 0.000 0.000
Pu 0.046 0.519 0.566
Fe 0.410 0.200 0.612
Fe 0.456 0.720 0.167
O 0.246 0.937 0.827
O 0.249 0.812 0.359
O 0.518 0.581 0.832
O 0.549 0.419 0.363
O 0.887 0.302 0.822
O 0.947 0.113 0.358